Starting from DFT lattice parameters and positions (PBE+U), the powder XRD pattern of HoCoC6N6O4 was simulated for Cu Ka.
No peak broadening, texture or thermal motion is included.

Largest 12 diffraction maxima, low angle first, 2θ from 10° to 80°:
13.7°, I 26; 15.3°, I 44; 15.4°, I 70; 19.4°, I 58; 19.5°, I 100; 23.8°, I 56; 24.1°, I 22; 24.8°, I 20; 27.6°, I 25; 34.9°, I 30; 36.7°, I 36; 37.4°, I 24

Crystal structure
```
HoCoC6N6O4
1.0
3.686 -6.493 0.000
3.686 6.493 0.000
0.000 0.000 12.952
Ho Co C N O
2 2 12 12 8
direct
0.165 0.835 0.750 Ho
0.835 0.165 0.250 Ho
0.500 0.500 0.000 Co
0.500 0.500 0.500 Co
0.269 0.370 0.087 C
0.269 0.370 0.413 C
0.370 0.269 0.587 C
0.370 0.269 0.913 C
0.374 0.626 0.572 C
0.374 0.626 0.928 C
0.626 0.374 0.072 C
0.626 0.374 0.428 C
0.630 0.731 0.087 C
0.630 0.731 0.413 C
0.731 0.630 0.587 C
0.731 0.630 0.913 C
0.122 0.291 0.140 N
0.122 0.291 0.360 N
0.291 0.122 0.640 N
0.291 0.122 0.860 N
0.298 0.702 0.621 N
0.298 0.702 0.879 N
0.702 0.298 0.121 N
0.702 0.298 0.379 N
0.709 0.878 0.140 N
0.709 0.878 0.360 N
0.878 0.709 0.640 N
0.878 0.709 0.860 N
0.067 0.656 0.250 O
0.180 0.820 0.171 O
0.180 0.820 0.329 O
0.344 0.933 0.250 O
0.656 0.067 0.750 O
0.820 0.180 0.671 O
0.820 0.180 0.829 O
0.933 0.344 0.750 O
```